Computed X-ray powder pattern
Compound: CsRb5Zn2O5
Radiation: Cu Kα
Structure: a GGA-PBE-relaxed structure

Structure:
```
CsRb5Zn2O5
1.0
3.543 -5.997 0.000
3.543 5.997 0.000
-0.271 0.000 6.895
Cs Rb Zn O
1 5 2 5
Cartesian
0.000 0.000 0.000 Cs
2.025 0.000 4.260 Rb
4.586 2.800 2.094 Rb
4.437 2.578 5.498 Rb
4.437 -2.578 5.498 Rb
4.586 -2.800 2.094 Rb
3.157 0.000 0.865 Zn
5.937 0.000 3.440 Zn
3.141 4.337 3.943 O
2.529 1.652 0.174 O
2.529 -1.652 0.174 O
4.247 0.000 2.472 O
3.141 -4.337 3.943 O
```

Top 10 peaks for 2θ from 10° to 90°, low angle first:
| Position (°2θ) | d/Å | I_rel |
| --- | --- | --- |
| 25.6 | 3.481 | 13 |
| 29.0 | 3.084 | 11 |
| 29.3 | 3.048 | 81 |
| 29.9 | 2.992 | 100 |
| 32.5 | 2.754 | 14 |
| 35.6 | 2.520 | 15 |
| 37.1 | 2.424 | 35 |
| 47.7 | 1.908 | 15 |
| 48.3 | 1.885 | 12 |
| 55.2 | 1.664 | 11 |



Computed X-ray powder pattern
Compound: Co5Te4
Radiation: Cu Kα
Structure: a GGA-PBE-relaxed structure

Structure:
```
Co5Te4
1.0
-4.595 4.595 1.877
4.595 -4.595 1.877
4.595 4.595 -1.877
Co Te
5 4
Cartesian
0.000 0.000 0.000 Co
3.908 2.917 0.000 Co
1.678 -0.687 1.877 Co
2.917 5.282 0.000 Co
0.687 1.678 1.877 Co
2.418 0.846 0.000 Te
3.749 -2.177 1.877 Te
0.846 6.772 0.000 Te
2.177 3.749 1.877 Te
```

Top 10 peaks for 2θ from 10° to 90°, low angle first:
| Position (°2θ) | d/Å | I_rel |
| --- | --- | --- |
| 13.6 | 6.498 | 30 |
| 30.8 | 2.906 | 34 |
| 32.3 | 2.772 | 100 |
| 42.9 | 2.109 | 61 |
| 44.1 | 2.055 | 41 |
| 47.4 | 1.917 | 61 |
| 48.5 | 1.877 | 25 |
| 67.6 | 1.386 | 22 |
| 86.7 | 1.123 | 24 |
| 89.9 | 1.091 | 28 |



Computed X-ray powder pattern
Compound: NiAs2
Radiation: Cu Kα
Structure: a GGA-PBE-relaxed structure

Structure:
```
NiAs2
1.0
5.787 0.000 0.000
0.000 5.787 0.000
0.000 0.000 5.787
Ni As
4 8
Cartesian
0.000 0.000 0.000 Ni
0.000 2.893 2.893 Ni
2.893 0.000 2.893 Ni
2.893 2.893 0.000 Ni
0.712 3.606 5.074 As
0.712 5.074 2.181 As
2.181 0.712 5.074 As
2.181 2.181 2.181 As
3.606 3.606 3.606 As
3.606 5.074 0.712 As
5.074 0.712 3.606 As
5.074 2.181 0.712 As
```

Top 10 peaks for 2θ from 10° to 90°, low angle first:
| Position (°2θ) | d/Å | I_rel |
| --- | --- | --- |
| 30.9 | 2.893 | 28 |
| 34.7 | 2.588 | 100 |
| 38.1 | 2.362 | 79 |
| 44.3 | 2.046 | 18 |
| 52.4 | 1.745 | 72 |
| 57.4 | 1.605 | 25 |
| 59.8 | 1.547 | 41 |
| 75.3 | 1.263 | 20 |
| 77.3 | 1.234 | 10 |
| 87.6 | 1.114 | 22 |



Computed X-ray powder pattern
Compound: SmSnAuSeS2
Radiation: Cu Kα
Structure: a GGA-PBE-relaxed structure

Structure:
```
SmSnAuSeS2
1.0
2.039 -6.591 0.000
2.039 6.591 0.000
0.000 0.000 10.968
Sm Sn Au Se S
2 2 2 2 4
Cartesian
0.000 0.000 0.000 Sm
0.000 0.000 5.484 Sm
2.039 3.379 8.226 Sn
2.039 -3.379 2.742 Sn
2.039 0.790 2.742 Au
2.039 -0.790 8.226 Au
2.039 5.336 2.742 Se
2.039 -5.336 8.226 Se
2.039 1.855 0.569 S
2.039 1.855 4.915 S
2.039 -1.855 6.053 S
2.039 -1.855 10.399 S
```

Top 10 peaks for 2θ from 10° to 90°, low angle first:
| Position (°2θ) | d/Å | I_rel |
| --- | --- | --- |
| 13.4 | 6.591 | 42 |
| 16.2 | 5.484 | 28 |
| 28.1 | 3.176 | 44 |
| 31.0 | 2.884 | 100 |
| 32.7 | 2.742 | 47 |
| 34.2 | 2.624 | 51 |
| 38.9 | 2.314 | 45 |
| 44.4 | 2.039 | 54 |
| 51.7 | 1.768 | 27 |
| 56.2 | 1.636 | 20 |